This entry pairs a crystal structure of Sr2Tl3Hg6 with its calculated powder diffraction line list. Radiation: a wavelength of 1.5418 Å. Structure: DFT lattice parameters and positions (GGA-PBE).
Intensities are scaled so that the largest is 100.

Structure:
Lattice parameters (Å, degrees): 10.446 15.626 4.131 90.00 90.00 90.00
Space group Cmmm (No. 65)
Unique sites:
Sr  0.207  0.000  0.000 [4 per cell]
Tl  0.000  0.266  0.000 [4 per cell]
Tl  0.000  0.500  0.500 [2 per cell]
Hg  0.000  0.108  0.500 [4 per cell]
Hg  0.209  0.341  0.500 [8 per cell]

Peak list (10 most intense, 10 to 90 degrees two-theta, by angle)
| two_theta | I (rel.) | index |
| --- | --- | --- |
| 21.51 | 24 | 0 0 1 |
| 29.85 | 100 | 2 2 1 |
| 30.89 | 27 | 3 3 0 |
| 31.52 | 43 | 0 4 1 |
| 34.16 | 16 | 3 1 1 |
| 34.35 | 29 | 4 0 0 |
| 37.95 | 30 | 3 3 1 |
| 38.65 | 32 | 2 6 0 |
| 43.83 | 23 | 0 0 2 |
| 59.85 | 18 | 2 6 2 |

This entry pairs a crystal structure of Sr3Tl5Hg2 with its calculated powder diffraction line list. Radiation: a wavelength of 1.5418 Å. Structure: DFT lattice parameters and positions (GGA-PBE).
Intensities are scaled so that the largest is 100.

Structure:
Lattice parameters (Å, degrees): 6.989 17.894 5.521 90.00 90.00 90.00
Space group Cmmm (No. 65)
Unique sites:
Sr  0.000  0.000  0.000 [2 per cell]
Sr  0.000  0.328  0.500 [4 per cell]
Tl  0.000  0.212  0.000 [4 per cell]
Tl  0.000  0.500  0.000 [2 per cell]
Tl  0.233  0.500  0.500 [4 per cell]
Hg  0.000  0.138  0.500 [4 per cell]

Peak list (10 most intense, 10 to 90 degrees two-theta, by angle)
| two_theta | I (rel.) | index |
| --- | --- | --- |
| 19.57 | 42 | 1 3 0 |
| 25.48 | 30 | 2 0 0 |
| 25.63 | 22 | 0 4 1 |
| 27.40 | 22 | 2 2 0 |
| 29.96 | 22 | 0 6 0 |
| 31.92 | 18 | 2 2 1 |
| 32.44 | 78 | 0 0 2 |
| 36.46 | 100 | 2 4 1 |
| 40.99 | 26 | 1 7 1 |
| 60.50 | 45 | 2 4 3 |

This entry pairs a crystal structure of SrTlHg3 with its calculated powder diffraction line list. Radiation: a wavelength of 1.5418 Å. Structure: DFT lattice parameters and positions (GGA-PBE).
Intensities are scaled so that the largest is 100.

Structure:
Lattice parameters (Å, degrees): 7.5507 7.5507 6.4030 90.00 90.00 120.00
Space group P6_3/mmc (No. 194)
Unique sites:
Sr  0.3333  0.6667  0.2500 [2 per cell]
Tl  0.0000  0.0000  0.0000 [2 per cell]
Hg  0.2008  0.4015  0.7500 [6 per cell]

Peak list (10 most intense, 10 to 90 degrees two-theta, by angle)
| two_theta | I (rel.) | index |
| --- | --- | --- |
| 19.40 | 42 | 1 0 1 |
| 27.87 | 21 | 0 0 2 |
| 30.70 | 100 | 2 0 1 |
| 31.10 | 32 | 1 0 2 |
| 36.35 | 60 | 2 1 0 |
| 39.39 | 53 | 2 0 2 |
| 43.88 | 29 | 3 0 1 |
| 48.21 | 21 | 2 2 0 |
| 51.11 | 25 | 2 0 3 |
| 69.15 | 21 | 3 2 2 |